This entry pairs a crystal structure of PmHo2Tm4Sc with its calculated X-ray powder pattern. Radiation: Cu Kα X-rays. Structure: a DFT-relaxed cell (PBE, Alexandria).

Crystal structure
```
data_PmHo2Tm4Sc
_chemical_formula_sum 'Pm4 Ho8 Tm16 Sc4'
_space_group_name_H-M_alt 'C 1 2/c 1'
_space_group_IT_number 15
_cell_length_a 13.3274
_cell_length_b 13.0647
_cell_length_c 6.6762
_cell_angle_alpha 90.00
_cell_angle_beta 120.04
_cell_angle_gamma 90.00
loop_
_space_group_symop_operation_xyz
'x,y,z'
'-x,-y,-z'
'-x,y,-z+1/2'
'x,-y,z+1/2'
'x+1/2,y+1/2,z'
'-x+1/2,-y+1/2,-z'
'-x+1/2,y+1/2,-z+1/2'
'x+1/2,-y+1/2,z+1/2'
loop_
_atom_site_label
_atom_site_type_symbol
_atom_site_fract_x
_atom_site_fract_y
_atom_site_fract_z
Pm1 Pm 0.2500 0.2500 0.0000
Ho1 Ho 0.0000 0.0000 0.0000
Ho2 Ho 0.2500 0.2500 0.5000
Tm1 Tm 0.0000 0.2596 0.0008
Tm2 Tm 0.2390 0.4989 0.4870
Sc1 Sc 0.0000 0.5000 0.0000
```

Main lines, in order of rising 2θ (10 to 80 degrees two-theta):
- 2θ = 27.3°, I = 44.5, (0 4 0)
- 2θ = 31.0°, I = 100.0, (4 0 -2)
- 2θ = 41.8°, I = 85.1, (4 4 -2)
- 2θ = 55.1°, I = 12.6, (4 0 -4)
- 2θ = 56.3°, I = 6.2, (0 8 0)
- 2θ = 62.5°, I = 16.9, (4 4 -4)
- 2θ = 62.6°, I = 8.3, (8 4 -2)
- 2θ = 64.5°, I = 8.3, (8 0 -4)
- 2θ = 65.7°, I = 21.1, (4 8 -2)
- 2θ = 71.4°, I = 11.5, (8 4 -4)

---

This entry pairs a crystal structure of Pm5Y2HoSc with its calculated X-ray powder pattern. Radiation: Cu Kα X-rays. Structure: a DFT-relaxed cell (PBE, Alexandria).

Crystal structure
```
data_Pm5Y2HoSc
_chemical_formula_sum 'Pm20 Y8 Ho4 Sc4'
_space_group_name_H-M_alt 'C m c m'
_space_group_IT_number 63
_space_group_name_Hall '-C 2c 2'
_cell_length_a 5.3610
_cell_length_b 21.9190
_cell_length_c 10.1735
_cell_angle_alpha 90.00
_cell_angle_beta 90.00
_cell_angle_gamma 90.00
loop_
_atom_site_label
_atom_site_type_symbol
_atom_site_fract_x
_atom_site_fract_y
_atom_site_fract_z
Pm1 Pm 0.0000 0.0000 0.0000
Pm2 Pm 0.0000 0.1258 0.2500
Pm3 Pm 0.0000 0.2211 0.5625
Pm4 Pm 0.0000 0.4991 0.7500
Y1 Y 0.0000 0.3839 0.0013
Ho1 Ho 0.0000 0.1012 0.7500
Sc1 Sc 0.0000 0.2847 0.2500
```

Main lines, in order of rising 2θ (10 to 80 degrees two-theta):
- 2θ = 27.1°, I = 31.8, (1 3 2)
- 2θ = 31.5°, I = 11.9, (1 1 3)
- 2θ = 31.7°, I = 100.0, (1 5 2)
- 2θ = 32.7°, I = 13.0, (0 8 0)
- 2θ = 33.4°, I = 32.3, (2 0 0)
- 2θ = 33.6°, I = 10.7, (1 3 3)
- 2θ = 35.3°, I = 15.2, (0 0 4)
- 2θ = 49.4°, I = 11.6, (2 0 4)
- 2θ = 58.7°, I = 17.1, (3 5 2)
- 2θ = 60.4°, I = 11.9, (1 13 2)

---

This entry pairs a crystal structure of Pm2YHo2Sc2 with its calculated X-ray powder pattern. Radiation: Cu Kα X-rays. Structure: a DFT-relaxed cell (PBE, Alexandria).

Crystal structure
```
data_Pm2YHo2Sc2
_chemical_formula_sum 'Pm4 Y2 Ho4 Sc4'
_space_group_name_H-M_alt 'C 1 2/m 1'
_space_group_IT_number 12
_cell_length_a 11.3151
_cell_length_b 3.3756
_cell_length_c 11.6155
_cell_angle_alpha 90.00
_cell_angle_beta 101.60
_cell_angle_gamma 90.00
loop_
_space_group_symop_operation_xyz
'x,y,z'
'-x,-y,-z'
'-x,y,-z'
'x,-y,z'
'x+1/2,y+1/2,z'
'-x+1/2,-y+1/2,-z'
'-x+1/2,y+1/2,-z'
'x+1/2,-y+1/2,z'
loop_
_atom_site_label
_atom_site_type_symbol
_atom_site_fract_x
_atom_site_fract_y
_atom_site_fract_z
Pm1 Pm 0.2055 0.0000 0.3630
Y1 Y 0.0000 0.5000 0.5000
Ho1 Ho 0.0908 0.0000 0.7848
Sc1 Sc 0.1588 0.0000 0.0691
```

Main lines, in order of rising 2θ (10 to 80 degrees two-theta):
- 2θ = 27.6°, I = 34.9, (1 1 0)
- 2θ = 31.0°, I = 100.0, (1 1 -2)
- 2θ = 31.1°, I = 82.1, (2 0 3)
- 2θ = 31.7°, I = 69.5, (4 0 -1)
- 2θ = 32.4°, I = 71.7, (2 0 -4)
- 2θ = 36.0°, I = 36.2, (3 1 0)
- 2θ = 38.0°, I = 55.5, (3 1 1)
- 2θ = 50.4°, I = 29.3, (1 1 5)
- 2θ = 54.4°, I = 34.5, (0 2 0)
- 2θ = 64.0°, I = 42.9, (2 2 3)

---

This entry pairs a crystal structure of Pm2YHoSc with its calculated X-ray powder pattern. Radiation: Cu Kα X-rays. Structure: a DFT-relaxed cell (PBE, Alexandria).

Crystal structure
```
data_Pm2YHoSc
_chemical_formula_sum 'Pm8 Y4 Ho4 Sc4'
_space_group_name_H-M_alt 'C m c m'
_space_group_IT_number 63
_space_group_name_Hall '-C 2c 2'
_cell_length_a 8.1667
_cell_length_b 11.3885
_cell_length_c 7.1463
_cell_angle_alpha 90.00
_cell_angle_beta 90.00
_cell_angle_gamma 90.00
loop_
_atom_site_label
_atom_site_type_symbol
_atom_site_fract_x
_atom_site_fract_y
_atom_site_fract_z
Pm1 Pm 0.1992 0.0000 0.0000
Y1 Y 0.0000 0.2450 0.2500
Ho1 Ho 0.0000 0.2224 0.7500
Sc1 Sc 0.0000 0.4833 0.7500
```

Main lines, in order of rising 2θ (10 to 80 degrees two-theta):
- 2θ = 26.9°, I = 99.1, (2 2 0)
- 2θ = 29.5°, I = 100.0, (0 2 2)
- 2θ = 31.4°, I = 52.9, (0 4 0)
- 2θ = 33.3°, I = 85.4, (2 0 2)
- 2θ = 33.9°, I = 22.0, (3 1 0)
- 2θ = 36.2°, I = 26.5, (1 3 2)
- 2θ = 40.8°, I = 23.7, (3 3 0)
- 2θ = 42.5°, I = 15.9, (3 1 2)
- 2θ = 46.4°, I = 57.1, (2 4 2)
- 2θ = 58.7°, I = 22.6, (2 2 4)

---

This entry pairs a crystal structure of PmY3Ho6Sc2 with its calculated X-ray powder pattern. Radiation: Cu Kα X-rays. Structure: a DFT-relaxed cell (PBE, Alexandria).

Crystal structure
```
data_PmY3Ho6Sc2
_chemical_formula_sum 'Pm2 Y6 Ho12 Sc4'
_space_group_name_H-M_alt 'C 1 2/m 1'
_space_group_IT_number 12
_cell_length_a 6.0705
_cell_length_b 10.5018
_cell_length_c 11.6196
_cell_angle_alpha 90.00
_cell_angle_beta 99.99
_cell_angle_gamma 90.00
loop_
_space_group_symop_operation_xyz
'x,y,z'
'-x,-y,-z'
'-x,y,-z'
'x,-y,z'
'x+1/2,y+1/2,z'
'-x+1/2,-y+1/2,-z'
'-x+1/2,y+1/2,-z'
'x+1/2,-y+1/2,z'
loop_
_atom_site_label
_atom_site_type_symbol
_atom_site_fract_x
_atom_site_fract_y
_atom_site_fract_z
Pm1 Pm 0.0000 0.0000 0.0000
Y1 Y 0.0000 0.1672 0.5000
Y2 Y 0.0000 0.5000 0.5000
Ho1 Ho 0.2462 0.5000 0.2450
Ho2 Ho 0.2502 0.1679 0.2451
Sc1 Sc 0.0000 0.3333 0.0000
```

Main lines, in order of rising 2θ (10 to 80 degrees two-theta):
- 2θ = 15.5°, I = 12.4, (0 0 2)
- 2θ = 29.9°, I = 8.2, (2 0 0)
- 2θ = 31.3°, I = 100.0, (1 3 1)
- 2θ = 36.3°, I = 50.2, (2 0 2)
- 2θ = 39.6°, I = 3.9, (1 3 3)
- 2θ = 52.2°, I = 35.0, (0 6 0)
- 2θ = 62.1°, I = 13.8, (4 0 0)
- 2θ = 62.2°, I = 27.3, (2 6 -2)
- 2θ = 65.2°, I = 11.8, (2 6 2)
- 2θ = 77.0°, I = 3.6, (2 6 -6)

---

This entry pairs a crystal structure of Pm2Y4Ho2Sc with its calculated X-ray powder pattern. Radiation: Cu Kα X-rays. Structure: a DFT-relaxed cell (PBE, Alexandria).

Crystal structure
```
data_Pm2Y4Ho2Sc
_chemical_formula_sum 'Pm4 Y8 Ho4 Sc2'
_space_group_name_H-M_alt 'C 1 2/m 1'
_space_group_IT_number 12
_cell_length_a 18.5350
_cell_length_b 3.5817
_cell_length_c 9.4969
_cell_angle_alpha 90.00
_cell_angle_beta 115.58
_cell_angle_gamma 90.00
loop_
_space_group_symop_operation_xyz
'x,y,z'
'-x,-y,-z'
'-x,y,-z'
'x,-y,z'
'x+1/2,y+1/2,z'
'-x+1/2,-y+1/2,-z'
'-x+1/2,y+1/2,-z'
'x+1/2,-y+1/2,z'
loop_
_atom_site_label
_atom_site_type_symbol
_atom_site_fract_x
_atom_site_fract_y
_atom_site_fract_z
Pm1 Pm 0.1633 0.0000 0.4967
Y1 Y 0.0190 0.0000 0.8309
Y2 Y 0.1848 0.5000 0.8327
Ho1 Ho 0.1476 0.5000 0.1641
Sc1 Sc 0.0000 0.5000 0.5000
```

Main lines, in order of rising 2θ (10 to 80 degrees two-theta):
- 2θ = 11.1°, I = 17.3, (2 0 -1)
- 2θ = 29.1°, I = 36.6, (6 0 -1)
- 2θ = 31.3°, I = 50.2, (0 0 3)
- 2θ = 32.1°, I = 100.0, (3 1 -2)
- 2θ = 33.8°, I = 58.8, (3 1 1)
- 2θ = 33.9°, I = 28.8, (6 0 -3)
- 2θ = 51.2°, I = 24.8, (9 1 -2)
- 2θ = 55.1°, I = 20.9, (3 1 -5)
- 2θ = 61.1°, I = 29.1, (0 2 3)
- 2θ = 61.3°, I = 14.3, (9 1 -5)